Record 1
For Ag5ICl8, a GGA-PBE-relaxed structure gives the calculated powder diffractogram in this record (copper Kα).
No peak broadening, texture or thermal motion is included.

Principal peaks in the range 5 to 70 degrees two-theta, low angle first:
2θ 16.0, rel. 19
2θ 22.3, rel. 21
2θ 22.5, rel. 100
2θ 25.0, rel. 24
2θ 27.6, rel. 29
2θ 28.0, rel. 42
2θ 30.2, rel. 28
2θ 33.8, rel. 48
2θ 44.4, rel. 72
2θ 45.7, rel. 28
2θ 48.5, rel. 27
2θ 57.0, rel. 18

Cell and atoms:
```
14
Lattice="-5.6283 5.6283 3.1882 5.6283 -5.6283 3.1882 5.6283 5.6283 -3.1882" Properties=species:S:1:pos:R:3 pbc="T T T"
Ag 0.0000 0.0000 0.0000
Ag 3.7256 -1.9209 1.4999
Ag 7.5492 -1.9026 1.6883
Ag 7.5309 1.9209 1.4999
Ag 3.7073 1.9026 1.6883
I 0.0000 5.6283 1.5941
Cl 2.1687 -0.0139 1.5522
Cl 3.4596 5.6422 -1.6360
Cl 5.6143 3.4596 1.6360
Cl 1.8270 3.8178 1.5731
Cl -1.8104 3.8012 1.6151
Cl -1.8270 7.4387 1.5731
Cl 1.8104 7.4553 1.6151
Cl 0.0139 2.1687 4.8242
```



Record 2
For Ag2ICl4, a GGA-PBE-relaxed structure gives the calculated powder diffractogram in this record (copper Kα).
No peak broadening, texture or thermal motion is included.

Principal peaks in the range 5 to 70 degrees two-theta, low angle first:
2θ 16.9, rel. 48
2θ 17.8, rel. 91
2θ 19.7, rel. 73
2θ 21.1, rel. 42
2θ 22.0, rel. 52
2θ 25.0, rel. 42
2θ 27.0, rel. 94
2θ 27.2, rel. 98
2θ 31.4, rel. 55
2θ 42.0, rel. 100
2θ 45.1, rel. 49
2θ 45.6, rel. 50

Cell and atoms:
```
14
Lattice="10.5687 -1.9510 0.0000 10.5687 1.9510 0.0000 -6.6556 0.0000 10.9109" Properties=species:S:1:pos:R:3 pbc="T T T"
Ag -0.2418 0.0000 2.8636
Ag 0.8668 0.0000 10.8154
Ag 13.6150 0.0000 0.0955
Ag 14.7235 0.0000 8.0473
I 4.7775 0.0000 3.9456
I 9.7043 0.0000 6.9653
Cl -4.1202 0.0000 9.4681
Cl 4.3958 0.0000 1.4223
Cl 2.7631 0.0000 8.8579
Cl 5.2043 0.0000 6.4547
Cl 9.2775 0.0000 4.4562
Cl 11.7187 0.0000 2.0530
Cl 10.0859 0.0000 9.4886
Cl 18.6020 0.0000 1.4429
```



Record 3
For AgICl5, a GGA-PBE-relaxed structure gives the calculated powder diffractogram in this record (copper Kα).
No peak broadening, texture or thermal motion is included.

Principal peaks in the range 5 to 70 degrees two-theta, low angle first:
2θ 11.3, rel. 68
2θ 11.4, rel. 100
2θ 11.9, rel. 34
2θ 12.5, rel. 30
2θ 13.4, rel. 37
2θ 18.4, rel. 93
2θ 21.8, rel. 23
2θ 22.9, rel. 70
2θ 23.7, rel. 39
2θ 26.9, rel. 24
2θ 32.9, rel. 34
2θ 33.1, rel. 36

Cell and atoms:
```
14
Lattice="8.3338 0.0000 0.0000 0.0131 8.5984 0.0000 2.6401 3.5326 7.4255" Properties=species:S:1:pos:R:3 pbc="T T T"
Ag 0.0000 0.0000 0.0000
Ag 1.3266 6.0655 3.7128
I 4.4217 7.0927 6.3093
I 6.5652 5.0383 1.1163
Cl 1.2183 7.8101 1.9838
Cl 2.4717 3.9628 1.1798
Cl 4.1686 9.4541 5.8184
Cl 3.7324 6.5408 3.7867
Cl 4.7745 4.4747 6.6966
Cl 6.2123 7.6563 0.7289
Cl 7.2545 5.5902 3.6388
Cl 6.8182 2.6769 1.6071
Cl 8.5151 8.1682 6.2458
Cl 9.7686 4.3209 5.4417
```